The following is a theoretical XRD peak list of AcLaTl. It was derived from a PBE-relaxed structure, using a wavelength of 1.5418 Å.
Lines closer than 0.1° are merged.

Crystal structure
```
data_AcLaTl
_symmetry_space_group_name_H-M 'P 3 m 1'
_symmetry_Int_Tables_number 156
_cell_length_a 5.5052
_cell_length_b 5.5052
_cell_length_c 4.0598
_cell_angle_alpha 90.00
_cell_angle_beta 90.00
_cell_angle_gamma 120.00
loop_
_symmetry_equiv_pos_as_xyz
'x,y,z'
'-y,x-y,z'
'-x+y,-x,z'
'-y,-x,z'
'-x+y,y,z'
'x,x-y,z'
loop_
_atom_site_label
_atom_site_fract_x
_atom_site_fract_y
_atom_site_fract_z
Ac1 0.0000 0.0000 0.0000
La1 0.3333 0.6667 0.4188
Tl1 0.6667 0.3333 0.6421
```

Main lines, in order of rising 2θ (5° ≤ 2θ ≤ 70°):
| 2θ/deg | d_spacing | Rel. int. | hkl |
| --- | --- | --- | --- |
| 28.9 | 3.091 | 100 | 0 1 1 |
| 32.5 | 2.753 | 73 | 1 1 0 |
| 44.1 | 2.056 | 32 | 2 0 1 |
| 48.8 | 1.868 | 20 | 1 0 2 |
| 55.8 | 1.647 | 33 | 1 2 1 |
| 56.3 | 1.634 | 7 | 1 1 2 |
| 58.0 | 1.589 | 14 | 3 0 0 |
| 59.8 | 1.546 | 11 | 0 2 2 |
| 68.1 | 1.376 | 9 | 2 2 0 |
| 69.8 | 1.348 | 14 | 2 1 2 |

The following is a theoretical XRD peak list of Ac5LaTl6. It was derived from a PBE-relaxed structure, using a wavelength of 1.5418 Å.
Lines closer than 0.1° are merged.

Crystal structure
```
data_Ac5LaTl6
_symmetry_space_group_name_H-M 'C 1 2/m 1'
_symmetry_Int_Tables_number 12
_cell_length_a 18.4180
_cell_length_b 8.1702
_cell_length_c 5.8361
_cell_angle_alpha 90.00
_cell_angle_beta 108.38
_cell_angle_gamma 90.00
loop_
_symmetry_equiv_pos_as_xyz
'x,y,z'
'-x,-y,-z'
'-x,y,-z'
'x,-y,z'
'x+1/2,y+1/2,z'
'-x+1/2,-y+1/2,-z'
'-x+1/2,y+1/2,-z'
'x+1/2,-y+1/2,z'
loop_
_atom_site_label
_atom_site_fract_x
_atom_site_fract_y
_atom_site_fract_z
Ac1 0.0000 0.0000 0.0000
Ac2 0.1646 0.0000 0.6639
Ac3 0.1693 0.5000 0.6683
La1 0.0000 0.5000 0.0000
Tl1 0.0000 0.2598 0.5000
Tl2 0.1642 0.2552 0.1630
```

Main lines, in order of rising 2θ (5° ≤ 2θ ≤ 70°):
| 2θ/deg | d_spacing | Rel. int. | hkl |
| --- | --- | --- | --- |
| 30.7 | 2.916 | 51 | 2 0 -2 |
| 30.8 | 2.902 | 100 | 2 2 1 |
| 43.9 | 2.062 | 19 | 4 0 2 |
| 44.3 | 2.043 | 9 | 0 4 0 |
| 54.6 | 1.681 | 31 | 0 2 3 |
| 54.7 | 1.679 | 10 | 10 2 -1 |
| 54.9 | 1.673 | 20 | 2 4 -2 |
| 63.8 | 1.459 | 3 | 4 0 -4 |
| 63.9 | 1.457 | 3 | 12 0 0 |
| 64.2 | 1.451 | 13 | 4 4 2 |

The following is a theoretical XRD peak list of Ac14LaTl. It was derived from a PBE-relaxed structure, using a wavelength of 1.5418 Å.
Lines closer than 0.1° are merged.

Crystal structure
```
data_Ac14LaTl
_symmetry_space_group_name_H-M 'A m m 2'
_symmetry_Int_Tables_number 38
_cell_length_a 11.1235
_cell_length_b 11.1094
_cell_length_c 11.1102
_cell_angle_alpha 90.00
_cell_angle_beta 90.00
_cell_angle_gamma 90.00
loop_
_symmetry_equiv_pos_as_xyz
'x,y,z'
'-x,-y,z'
'-x,y,z'
'x,-y,z'
'x,y+1/2,z+1/2'
'-x,-y+1/2,z+1/2'
'-x,y+1/2,z+1/2'
'x,-y+1/2,z+1/2'
loop_
_atom_site_label
_atom_site_fract_x
_atom_site_fract_y
_atom_site_fract_z
Ac1 0.0000 0.0000 0.9995
Ac2 0.0000 0.0000 0.5000
Ac3 0.0000 0.2505 0.2499
Ac4 0.2563 0.0000 0.2513
Ac5 0.2573 0.2483 0.4999
Ac6 0.2581 0.0000 0.7482
Ac7 0.5000 0.2488 0.2502
La1 0.5000 0.0000 0.9999
Tl1 0.5000 0.0000 0.4996
```

Main lines, in order of rising 2θ (5° ≤ 2θ ≤ 70°):
| 2θ/deg | d_spacing | Rel. int. | hkl |
| --- | --- | --- | --- |
| 24.0 | 3.706 | 1 | 3 0 0 |
| 27.8 | 3.208 | 100 | 2 2 2 |
| 32.2 | 2.779 | 52 | 0 4 0 |
| 46.2 | 1.965 | 39 | 0 4 4 |
| 46.9 | 1.936 | 1 | 5 2 2 |
| 54.8 | 1.676 | 47 | 2 6 2 |
| 57.4 | 1.604 | 14 | 4 4 4 |
| 67.4 | 1.389 | 6 | 0 8 0 |
| 68.0 | 1.379 | 1 | 7 4 0 |

The following is a theoretical XRD peak list of AcLa6Tm3. It was derived from a PBE-relaxed structure, using a wavelength of 1.5418 Å.
Lines closer than 0.1° are merged.

Crystal structure
```
data_AcLa6Tm3
_symmetry_space_group_name_H-M 'R 3'
_symmetry_Int_Tables_number 146
_symmetry_space_group_name_Hall 'R 3'
_cell_length_a 10.1108
_cell_length_b 10.1108
_cell_length_c 12.5376
_cell_angle_alpha 90.00
_cell_angle_beta 90.00
_cell_angle_gamma 120.00
loop_
_atom_site_label
_atom_site_fract_x
_atom_site_fract_y
_atom_site_fract_z
Ac1 0.0000 0.0000 0.0000
La1 0.9999 0.3410 0.0005
La2 0.9997 0.6713 0.5005
Tm1 0.0000 0.0000 0.2599
Tm2 0.0000 0.0000 0.4999
Tm3 0.0000 0.0000 0.7401
```

Main lines, in order of rising 2θ (5° ≤ 2θ ≤ 70°):
| 2θ/deg | d_spacing | Rel. int. | hkl |
| --- | --- | --- | --- |
| 17.5 | 5.055 | 15 | 1 1 0 |
| 27.7 | 3.221 | 56 | 2 -1 3 |
| 30.3 | 2.951 | 22 | 1 0 4 |
| 30.6 | 2.919 | 100 | 3 0 0 |
| 35.2 | 2.549 | 15 | 0 2 4 |
| 39.6 | 2.276 | 22 | 2 1 4 |
| 41.8 | 2.163 | 18 | 2 2 3 |
| 52.7 | 1.738 | 19 | 5 -1 3 |
| 54.0 | 1.699 | 14 | 3 0 6 |
| 54.4 | 1.685 | 20 | 3 3 0 |